(1)
Diffraction record for TmNb4Ga4. The powder diffractogram is simulated, not measured: it uses a cell relaxed with GGA-PBE and copper Kα.

Most intense lines, 10° ≤ 2θ ≤ 90°, in order of rising 2θ:
- 30.27°, rel. 270
- 35.39°, rel. 446
- 36.08°, rel. 217
- 36.31°, rel. 459
- 37.84°, rel. 1000
- 39.53°, rel. 230
- 42.95°, rel. 211
- 44.29°, rel. 459
- 48.14°, rel. 202
- 74.89°, rel. 182

Atomic structure:
Unit cell a=8.020 b=8.020 c=5.203 alpha=90.00 beta=90.00 gamma=90.00
Fractional positions:
Tm  0.250  0.250  0.250
Tm  0.750  0.750  0.750
Nb  0.102  0.806  0.632
Nb  0.194  0.602  0.132
Nb  0.306  0.898  0.132
Nb  0.398  0.694  0.632
Nb  0.602  0.306  0.368
Nb  0.694  0.102  0.868
Nb  0.806  0.398  0.868
Nb  0.898  0.194  0.368
Ga  0.042  0.124  0.838
Ga  0.124  0.458  0.662
Ga  0.376  0.042  0.662
Ga  0.458  0.376  0.838
Ga  0.542  0.624  0.162
Ga  0.624  0.958  0.338
Ga  0.876  0.542  0.338
Ga  0.958  0.876  0.162



(2)
Diffraction record for Nb4V3Ga5. The powder diffractogram is simulated, not measured: it uses a cell relaxed with GGA-PBE and copper Kα.

Most intense lines, 10° ≤ 2θ ≤ 90°, in order of rising 2θ:
- 28.77°, rel. 145
- 36.11°, rel. 730
- 38.67°, rel. 1000
- 40.87°, rel. 841
- 41.36°, rel. 306
- 41.84°, rel. 524
- 53.89°, rel. 267
- 55.84°, rel. 206
- 71.46°, rel. 149
- 88.59°, rel. 117

Atomic structure:
Unit cell a=6.719 b=6.719 c=7.542 alpha=113.72 beta=113.72 gamma=40.56
Fractional positions:
Nb  0.090  0.090  0.460
Nb  0.174  0.174  0.874
Nb  0.826  0.826  0.126
Nb  0.910  0.910  0.540
V  0.000  0.000  0.000
V  0.454  0.454  0.291
V  0.546  0.546  0.709
Ga  0.245  0.245  0.268
Ga  0.331  0.331  0.662
Ga  0.500  0.500  0.000
Ga  0.669  0.669  0.338
Ga  0.755  0.755  0.732



(3)
Diffraction record for Nb6GaW. The powder diffractogram is simulated, not measured: it uses a cell relaxed with GGA-PBE and copper Kα.

Most intense lines, 10° ≤ 2θ ≤ 90°, in order of rising 2θ:
- 16.99°, rel. 152
- 34.38°, rel. 432
- 38.59°, rel. 1000
- 42.44°, rel. 957
- 64.38°, rel. 209
- 67.13°, rel. 483
- 72.46°, rel. 163
- 82.72°, rel. 135
- 85.22°, rel. 148
- 87.78°, rel. 89

Atomic structure:
Unit cell a=5.217 b=5.217 c=5.217 alpha=89.95 beta=89.95 gamma=89.95
Fractional positions:
Nb  0.001  0.499  0.255
Nb  0.255  0.001  0.499
Nb  0.499  0.255  0.001
Nb  0.501  0.745  0.999
Nb  0.745  0.999  0.501
Nb  0.999  0.501  0.745
Ga  0.000  0.000  0.000
W  0.500  0.500  0.500



(4)
Diffraction record for YNbGa6. The powder diffractogram is simulated, not measured: it uses a cell relaxed with GGA-PBE and copper Kα.

Most intense lines, 10° ≤ 2θ ≤ 90°, in order of rising 2θ:
- 29.53°, rel. 106
- 35.58°, rel. 728
- 39.41°, rel. 1000
- 45.57°, rel. 179
- 45.65°, rel. 178
- 50.04°, rel. 96
- 61.73°, rel. 94
- 61.87°, rel. 186
- 71.52°, rel. 109
- 75.40°, rel. 151

Atomic structure:
Unit cell a=5.287 b=9.134 c=6.050 alpha=90.00 beta=90.15 gamma=90.00
Fractional positions:
Y  0.000  0.000  0.000
Y  0.500  0.500  0.000
Nb  0.000  0.000  0.500
Nb  0.500  0.500  0.500
Ga  0.000  0.500  0.272
Ga  0.000  0.500  0.728
Ga  0.250  0.250  0.271
Ga  0.250  0.250  0.729
Ga  0.250  0.750  0.271
Ga  0.250  0.750  0.729
Ga  0.500  0.000  0.272
Ga  0.500  0.000  0.728
Ga  0.750  0.250  0.271
Ga  0.750  0.250  0.729
Ga  0.750  0.750  0.271
Ga  0.750  0.750  0.729